Structure and computed powder diffraction line list of Mg14AlNi (a DFT-relaxed cell (GGA-PBE, the Materials Project); a wavelength of 1.5418 Å).
Kinematic intensities with the Lorentz-polarization factor, no thermal factor.

Main lines, low angle first (10° ≤ 2θ ≤ 80°):
d_spacing, Rel. int.
5.386, 5
4.741, 7
2.693, 25
2.497, 25
2.370, 100
1.831, 15
1.555, 17
1.416, 16
1.320, 18
1.300, 13

Structure:
```
Mg14AlNi
1.0
9.988 0.000 0.000
0.000 3.111 5.385
0.000 -3.111 5.385
Mg Al Ni
14 1 1
Cartesian
0.000 0.000 0.000
0.000 -1.546 2.702
0.000 1.546 2.702
0.000 0.000 5.374
2.506 0.000 7.163
2.601 0.000 1.743
2.679 -1.586 4.532
2.679 1.586 4.532
4.994 -1.544 8.039
4.994 1.544 8.039
7.309 -1.586 4.532
7.309 1.586 4.532
7.387 0.000 1.743
7.482 0.000 7.163
4.994 0.000 5.440
4.994 0.000 0.026
```

Structure and computed powder diffraction line list of Mg2MnN2 (a DFT-relaxed cell (GGA-PBE, the Materials Project); a wavelength of 1.5418 Å).
Kinematic intensities with the Lorentz-polarization factor, no thermal factor.

Main lines, low angle first (10° ≤ 2θ ≤ 80°):
d_spacing, Rel. int.
4.644, 25
3.907, 50
3.534, 100
2.498, 77
2.457, 69
2.322, 49
2.172, 84
1.983, 57
1.586, 25
1.464, 38

Structure:
```
Mg2MnN2
1.0
5.006 -2.172 0.000
5.006 2.172 0.000
-2.786 0.000 5.521
Mg Mn N
4 2 4
Cartesian
-0.476 0.000 1.379
0.760 0.000 4.982
6.467 0.000 0.539
7.703 0.000 4.142
2.588 0.000 2.083
4.638 0.000 3.437
1.500 0.000 0.609
2.849 0.000 3.982
4.377 0.000 1.538
5.727 0.000 4.911
```

Structure and computed powder diffraction line list of UVS3 (a DFT-relaxed cell (GGA-PBE, the Materials Project); a wavelength of 1.5418 Å).
Kinematic intensities with the Lorentz-polarization factor, no thermal factor.

Main lines, low angle first (10° ≤ 2θ ≤ 80°):
d_spacing, Rel. int.
4.588, 37
4.484, 42
4.085, 95
3.254, 55
3.207, 100
2.664, 41
2.506, 70
2.271, 37
2.223, 39
2.113, 38

Structure:
```
UVS3
1.0
6.983 0.000 0.000
0.000 8.968 0.000
0.000 0.000 6.086
U V S
4 4 12
Cartesian
0.793 2.242 0.335
2.698 6.726 3.378
4.285 2.242 2.708
6.190 6.726 5.752
0.000 0.000 3.043
0.000 4.484 3.043
3.491 0.000 0.000
3.491 4.484 0.000
0.305 6.726 2.154
1.291 5.033 5.091
1.291 8.420 5.091
2.200 0.548 2.048
2.200 3.936 2.048
3.187 2.242 5.197
3.796 6.726 0.889
4.783 5.033 4.039
4.783 8.420 4.039
5.692 0.548 0.995
5.692 3.936 0.995
6.678 2.242 3.932
```

Structure and computed powder diffraction line list of HoBO3 (a DFT-relaxed cell (GGA-PBE, the Materials Project); a wavelength of 1.5418 Å).
Kinematic intensities with the Lorentz-polarization factor, no thermal factor.

Main lines, low angle first (10° ≤ 2θ ≤ 80°):
d_spacing, Rel. int.
3.836, 100
3.003, 90
2.493, 36
2.090, 28
1.918, 18
1.881, 23
1.858, 42
1.602, 23
1.520, 18
1.439, 11

Structure:
```
HoBO3
1.0
2.493 1.439 5.573
-2.493 1.439 5.573
0.000 -2.878 5.573
Ho B O
2 2 6
Cartesian
0.000 0.000 0.000
0.000 0.000 8.360
0.000 0.000 4.180
0.000 0.000 12.540
-1.799 -0.237 6.967
-0.694 -1.676 9.753
1.105 -1.439 6.967
-1.105 1.439 9.753
0.694 1.676 6.967
1.799 0.237 9.753
```

Structure and computed powder diffraction line list of SiH (a DFT-relaxed cell (GGA-PBE, the Materials Project); a wavelength of 1.5418 Å).
Kinematic intensities with the Lorentz-polarization factor, no thermal factor.

Main lines, low angle first (10° ≤ 2θ ≤ 80°):
d_spacing, Rel. int.
5.776, 100
3.368, 25
2.910, 41
2.888, 9
2.192, 23
1.945, 18
1.843, 24
1.671, 14
1.613, 9
1.327, 8

Structure:
```
SiH
1.0
3.889 0.000 0.000
-1.945 3.368 0.000
0.000 0.000 5.776
Si H
2 2
Cartesian
0.000 2.245 0.360
1.945 1.123 5.416
0.000 2.245 1.861
1.945 1.123 3.915
```

Structure and computed powder diffraction line list of TlCr5Te8 (a DFT-relaxed cell (GGA-PBE, the Materials Project); a wavelength of 1.5418 Å).
Kinematic intensities with the Lorentz-polarization factor, no thermal factor.

Main lines, low angle first (10° ≤ 2θ ≤ 80°):
d_spacing, Rel. int.
3.079, 100
3.067, 33
2.933, 51
2.887, 22
2.451, 22
2.156, 14
1.995, 20
1.971, 32
1.811, 13
1.221, 13

Structure:
```
TlCr5Te8
1.0
10.203 -1.995 0.000
10.203 1.995 0.000
-2.366 0.000 9.258
Tl Cr Te
1 5 8
Cartesian
0.000 0.000 0.000
1.696 0.000 4.479
1.849 0.000 7.700
8.644 0.000 4.633
15.473 0.000 1.563
15.621 0.000 4.799
-0.478 0.000 6.172
4.144 0.000 3.188
6.358 0.000 0.070
6.482 0.000 6.285
10.820 0.000 2.997
10.944 0.000 9.197
13.171 0.000 6.093
17.771 0.000 3.095
```

Structure and computed powder diffraction line list of In (a DFT-relaxed cell (GGA-PBE, the Materials Project); a wavelength of 1.5418 Å).
Kinematic intensities with the Lorentz-polarization factor, no thermal factor.

Main lines, low angle first (10° ≤ 2θ ≤ 80°):
d_spacing, Rel. int.
2.708, 100
1.915, 18
1.564, 36
1.354, 11
1.211, 15

Structure:
```
In
1.0
3.830 0.000 0.000
0.000 3.830 0.000
0.000 0.000 3.830
In
2
Cartesian
0.000 0.000 0.000
1.915 1.915 1.915
```